Record 1
Structure and computed powder X-ray diffraction pattern of Na2NbAgF6 (a crystal structure in the Materials Project, relaxed with GGA-PBE; Cu Kα, 1.54184 Å).
Peak positions follow from Bragg's law for the DFT cell and can differ from measured ones.

Structure:
Unit cell a=8.962 b=8.962 c=8.962 alpha=90.00 beta=90.00 gamma=90.00
Space group Fm-3m (No. 225)
Unique sites:
Na: 0.250 0.250 0.250
Nb: 0.000 0.000 0.000
Ag: 0.000 0.000 0.500
F: 0.000 0.000 0.231

Largest 12 diffraction maxima, low angle first, 2θ = 10–90°:
19.81 deg, d 4.481, rel. 100.0, (2 0 0)
28.16 deg, d 3.168, rel. 98.3, (2 2 0)
40.25 deg, d 2.240, rel. 52.2, (4 0 0)
45.25 deg, d 2.004, rel. 40.9, (4 2 0)
49.85 deg, d 1.829, rel. 38.6, (4 2 2)
58.24 deg, d 1.584, rel. 30.6, (4 4 0)
62.15 deg, d 1.494, rel. 18.5, (6 0 0)
65.92 deg, d 1.417, rel. 18.0, (6 2 0)
73.17 deg, d 1.293, rel. 9.3, (4 4 4)
76.68 deg, d 1.243, rel. 8.5, (6 4 0)
80.15 deg, d 1.198, rel. 19.8, (6 4 2)
86.98 deg, d 1.120, rel. 4.2, (8 0 0)

---

Record 2
Structure and computed powder X-ray diffraction pattern of Na2AgPdF6 (a crystal structure in the Materials Project, relaxed with GGA-PBE; Cu Kα, 1.54184 Å).
Peak positions follow from Bragg's law for the DFT cell and can differ from measured ones.

Structure:
Unit cell a=8.663 b=8.663 c=8.663 alpha=90.00 beta=90.00 gamma=90.00
Space group Fm-3m (No. 225)
Unique sites:
Na: 0.250 0.250 0.250
Ag: 0.000 0.000 0.000
Pd: 0.000 0.000 0.500
F: 0.000 0.000 0.260

Largest 12 diffraction maxima, low angle first, 2θ = 10–90°:
20.50 deg, d 4.332, rel. 100.0, (2 0 0)
29.16 deg, d 3.063, rel. 96.3, (2 2 0)
35.91 deg, d 2.501, rel. 2.0, (2 2 2)
41.70 deg, d 2.166, rel. 49.6, (4 0 0)
46.90 deg, d 1.937, rel. 41.5, (4 2 0)
51.69 deg, d 1.768, rel. 38.3, (4 2 2)
60.45 deg, d 1.531, rel. 29.1, (4 4 0)
64.54 deg, d 1.444, rel. 18.8, (6 0 0)
68.50 deg, d 1.370, rel. 16.6, (6 2 0)
76.12 deg, d 1.250, rel. 9.0, (4 4 4)
79.84 deg, d 1.201, rel. 8.3, (6 4 0)
83.51 deg, d 1.158, rel. 19.1, (6 4 2)

---

Record 3
Structure and computed powder X-ray diffraction pattern of Na2ScAgF6 (a crystal structure in the Materials Project, relaxed with GGA-PBE; Cu Kα, 1.54184 Å).
Peak positions follow from Bragg's law for the DFT cell and can differ from measured ones.

Structure:
Unit cell a=8.799 b=8.799 c=8.799 alpha=90.00 beta=90.00 gamma=90.00
Space group Fm-3m (No. 225)
Unique sites:
Na: 0.250 0.250 0.250
Sc: 0.000 0.000 0.000
Ag: 0.000 0.000 0.500
F: 0.000 0.000 0.229

Largest 12 diffraction maxima, low angle first, 2θ = 10–90°:
17.46 deg, d 5.080, rel. 18.5, (1 1 1)
20.18 deg, d 4.400, rel. 97.4, (2 0 0)
28.70 deg, d 3.111, rel. 100.0, (2 2 0)
33.78 deg, d 2.653, rel. 23.9, (3 1 1)
41.03 deg, d 2.200, rel. 64.8, (4 0 0)
44.90 deg, d 2.019, rel. 17.0, (3 3 1)
46.13 deg, d 1.968, rel. 36.5, (4 2 0)
50.83 deg, d 1.796, rel. 37.2, (4 2 2)
59.42 deg, d 1.556, rel. 36.2, (4 4 0)
63.43 deg, d 1.467, rel. 15.8, (6 0 0)
67.30 deg, d 1.391, rel. 18.0, (6 2 0)
81.93 deg, d 1.176, rel. 19.5, (6 4 2)

---

Record 4
Structure and computed powder X-ray diffraction pattern of Na2TaAgF6 (a crystal structure in the Materials Project, relaxed with GGA-PBE; Cu Kα, 1.54184 Å).
Peak positions follow from Bragg's law for the DFT cell and can differ from measured ones.

Structure:
Unit cell a=9.886 b=9.886 c=9.886 alpha=90.00 beta=90.00 gamma=90.00
Space group Fm-3m (No. 225)
Unique sites:
Na: 0.250 0.250 0.250
Ta: 0.000 0.000 0.000
Ag: 0.000 0.000 0.500
F: 0.000 0.000 0.195

Largest 12 diffraction maxima, low angle first, 2θ = 10–90°:
15.53 deg, d 5.707, rel. 24.2, (1 1 1)
17.95 deg, d 4.943, rel. 97.8, (2 0 0)
25.49 deg, d 3.495, rel. 100.0, (2 2 0)
36.35 deg, d 2.471, rel. 35.5, (4 0 0)
40.82 deg, d 2.210, rel. 37.8, (4 2 0)
44.92 deg, d 2.018, rel. 35.9, (4 2 2)
52.35 deg, d 1.748, rel. 20.3, (4 4 0)
55.80 deg, d 1.648, rel. 18.0, (6 0 0)
59.10 deg, d 1.563, rel. 24.5, (6 2 0)
68.44 deg, d 1.371, rel. 10.7, (6 4 0)
71.41 deg, d 1.321, rel. 23.4, (6 4 2)
82.86 deg, d 1.165, rel. 10.4, (6 6 0)

---

Record 5
Structure and computed powder X-ray diffraction pattern of Na2YAgF6 (a crystal structure in the Materials Project, relaxed with GGA-PBE; Cu Kα, 1.54184 Å).
Peak positions follow from Bragg's law for the DFT cell and can differ from measured ones.

Structure:
Unit cell a=9.137 b=9.137 c=9.137 alpha=90.00 beta=90.00 gamma=90.00
Space group Fm-3m (No. 225)
Unique sites:
Na: 0.250 0.250 0.250
Y: 0.000 0.000 0.000
Ag: 0.000 0.000 0.500
F: 0.000 0.000 0.237

Largest 12 diffraction maxima, low angle first, 2θ = 10–90°:
19.43 deg, d 4.568, rel. 100.0, (2 0 0)
27.61 deg, d 3.230, rel. 98.5, (2 2 0)
39.45 deg, d 2.284, rel. 55.1, (4 0 0)
44.34 deg, d 2.043, rel. 42.3, (4 2 0)
48.83 deg, d 1.865, rel. 39.8, (4 2 2)
57.02 deg, d 1.615, rel. 32.9, (4 4 0)
60.83 deg, d 1.523, rel. 19.3, (6 0 0)
64.50 deg, d 1.445, rel. 17.8, (6 2 0)
71.54 deg, d 1.319, rel. 10.0, (4 4 4)
74.95 deg, d 1.267, rel. 8.4, (6 4 0)
78.31 deg, d 1.221, rel. 19.8, (6 4 2)
88.18 deg, d 1.108, rel. 10.9, (6 4 4)

---

Record 6
Structure and computed powder X-ray diffraction pattern of Rb2NbAgF6 (a crystal structure in the Materials Project, relaxed with GGA-PBE; Cu Kα, 1.54184 Å).
Peak positions follow from Bragg's law for the DFT cell and can differ from measured ones.

Structure:
Unit cell a=9.113 b=9.113 c=9.113 alpha=90.00 beta=90.00 gamma=90.00
Space group Fm-3m (No. 225)
Unique sites:
Rb: 0.250 0.250 0.250
Nb: 0.000 0.000 0.000
Ag: 0.000 0.000 0.500
F: 0.000 0.000 0.232

Largest 12 diffraction maxima, low angle first, 2θ = 10–90°:
19.48 deg, d 4.556, rel. 6.3, (2 0 0)
27.69 deg, d 3.222, rel. 100.0, (2 2 0)
34.08 deg, d 2.631, rel. 2.2, (2 2 2)
39.56 deg, d 2.278, rel. 39.1, (4 0 0)
44.46 deg, d 2.038, rel. 2.2, (4 2 0)
48.97 deg, d 1.860, rel. 40.1, (4 2 2)
57.18 deg, d 1.611, rel. 24.0, (4 4 0)
61.01 deg, d 1.519, rel. 0.8, (6 0 0)
64.69 deg, d 1.441, rel. 18.4, (6 2 0)
71.76 deg, d 1.315, rel. 7.6, (4 4 4)
78.55 deg, d 1.218, rel. 21.0, (6 4 2)
85.19 deg, d 1.139, rel. 3.5, (8 0 0)

---

Record 7
Structure and computed powder X-ray diffraction pattern of AgO2F (a crystal structure in the Materials Project, relaxed with GGA-PBE; Cu Kα, 1.54184 Å).
Peak positions follow from Bragg's law for the DFT cell and can differ from measured ones.

Structure:
Unit cell a=7.075 b=8.043 c=4.409 alpha=90.00 beta=90.00 gamma=90.00
Space group C222_1 (No. 20)
Unique sites:
Ag: 0.218 0.000 0.000
O: 0.088 0.380 0.789
F: 0.000 0.122 0.250

Largest 12 diffraction maxima, low angle first, 2θ = 10–90°:
22.10 deg, d 4.022, rel. 44.6, (0 2 0)
25.18 deg, d 3.537, rel. 10.9, (2 0 0)
26.27 deg, d 3.392, rel. 100.0, (1 1 1)
30.08 deg, d 2.971, rel. 8.9, (0 2 1)
33.75 deg, d 2.656, rel. 23.4, (2 2 0)
41.43 deg, d 2.179, rel. 32.1, (1 3 1)
45.04 deg, d 2.013, rel. 21.3, (3 1 1)
47.01 deg, d 1.933, rel. 10.4, (0 2 2)
48.67 deg, d 1.871, rel. 13.8, (2 0 2)
52.34 deg, d 1.748, rel. 11.1, (2 4 0)
54.06 deg, d 1.696, rel. 12.4, (2 2 2)
55.98 deg, d 1.643, rel. 10.8, (3 3 1)

---

Record 8
Structure and computed powder X-ray diffraction pattern of AgO2F (a crystal structure in the Materials Project, relaxed with GGA-PBE; Cu Kα, 1.54184 Å).
Peak positions follow from Bragg's law for the DFT cell and can differ from measured ones.

Structure:
Unit cell a=13.276 b=3.908 c=4.809 alpha=90.00 beta=100.70 gamma=90.00
Space group C2/m (No. 12)
Unique sites:
Ag: 0.171 0.000 0.212
O: 0.032 0.338 0.223
F: 0.243 0.000 0.757

Largest 12 diffraction maxima, low angle first, 2θ = 10–90°:
13.58 deg, d 6.523, rel. 47.4, (2 0 0)
21.07 deg, d 4.217, rel. 68.7, (2 0 -1)
25.24 deg, d 3.528, rel. 63.8, (2 0 1)
29.64 deg, d 3.014, rel. 43.8, (1 1 -1)
30.76 deg, d 2.907, rel. 100.0, (3 1 0)
31.26 deg, d 2.861, rel. 22.3, (1 1 1)
38.07 deg, d 2.364, rel. 51.5, (0 0 2)
41.57 deg, d 2.172, rel. 24.0, (6 0 0)
43.10 deg, d 2.099, rel. 25.2, (5 1 -1)
46.44 deg, d 1.955, rel. 34.6, (0 2 0)
48.81 deg, d 1.866, rel. 27.7, (5 1 1)
61.56 deg, d 1.506, rel. 26.7, (2 2 -2)

---

Record 9
Structure and computed powder X-ray diffraction pattern of Ag2PO3F (a crystal structure in the Materials Project, relaxed with GGA-PBE; Cu Kα, 1.54184 Å).
Peak positions follow from Bragg's law for the DFT cell and can differ from measured ones.

Structure:
Unit cell a=9.444 b=5.651 c=15.249 alpha=90.00 beta=92.31 gamma=90.00
Space group C2/c (No. 15)
Unique sites:
Ag: 0.000 0.000 0.000
Ag: 0.000 0.028 0.250
Ag: 0.151 0.463 0.667
P: 0.188 0.456 0.880
O: 0.073 0.266 0.866
O: 0.161 0.141 0.109
O: 0.174 0.336 0.315
F: 0.154 0.429 0.474

Largest 12 diffraction maxima, low angle first, 2θ = 10–90°:
11.62 deg, d 7.618, rel. 16.9, (0 0 2)
29.52 deg, d 3.026, rel. 100.0, (1 1 -4)
30.76 deg, d 2.907, rel. 43.0, (2 0 4)
31.67 deg, d 2.825, rel. 37.3, (0 2 0)
32.58 deg, d 2.748, rel. 95.4, (3 1 0)
39.74 deg, d 2.268, rel. 16.2, (1 1 -6)
44.34 deg, d 2.043, rel. 13.3, (4 0 -4)
44.73 deg, d 2.026, rel. 35.4, (2 2 4)
51.95 deg, d 1.760, rel. 17.8, (1 1 8)
55.08 deg, d 1.667, rel. 13.8, (1 3 -4)
56.99 deg, d 1.616, rel. 13.2, (3 3 0)
57.74 deg, d 1.597, rel. 14.7, (5 1 4)

---

Record 10
Structure and computed powder X-ray diffraction pattern of AgS2O6F2 (a crystal structure in the Materials Project, relaxed with GGA-PBE; Cu Kα, 1.54184 Å).
Peak positions follow from Bragg's law for the DFT cell and can differ from measured ones.

Structure:
Unit cell a=10.612 b=8.044 c=9.276 alpha=90.00 beta=113.73 gamma=90.00
Space group P2_1/c (No. 14)
Unique sites:
Ag: 0.000 0.000 0.000
Ag: 0.500 0.000 0.500
S: 0.143 0.218 0.330
S: 0.346 0.733 0.207
O: 0.029 0.203 0.173
O: 0.137 0.124 0.905
O: 0.214 0.699 0.684
O: 0.277 0.175 0.338
O: 0.356 0.669 0.064
O: 0.468 0.666 0.800
F: 0.108 0.083 0.434
F: 0.363 0.572 0.312

Largest 12 diffraction maxima, low angle first, 2θ = 10–90°:
15.39 deg, d 5.758, rel. 100.0, (1 1 -1)
18.26 deg, d 4.857, rel. 20.2, (2 0 0)
19.79 deg, d 4.487, rel. 56.6, (1 1 1)
21.37 deg, d 4.158, rel. 48.7, (2 1 0)
24.26 deg, d 3.669, rel. 23.5, (2 1 -2)
27.55 deg, d 3.237, rel. 21.8, (3 1 -1)
28.82 deg, d 3.098, rel. 32.3, (2 2 0)
30.62 deg, d 2.920, rel. 48.4, (0 2 2)
31.06 deg, d 2.879, rel. 28.6, (2 2 -2)
33.15 deg, d 2.703, rel. 20.1, (2 0 2)
35.21 deg, d 2.549, rel. 19.0, (3 1 1)
44.90 deg, d 2.019, rel. 26.8, (5 1 -1)

---

Record 11
Structure and computed powder X-ray diffraction pattern of AgSbTe6S16O6F30 (a crystal structure in the Materials Project, relaxed with GGA-PBE; Cu Kα, 1.54184 Å).
Peak positions follow from Bragg's law for the DFT cell and can differ from measured ones.

Structure:
Unit cell a=10.821 b=11.082 c=11.210 alpha=80.91 beta=83.89 gamma=70.99
Space group P-1 (No. 2)
Unique sites:
Ag: 0.000 0.000 0.000
Sb: 0.500 0.500 0.500
Te: 0.262 0.823 0.471
Te: 0.267 0.347 0.435
Te: 0.413 0.430 0.820
S: 0.007 0.276 0.791
S: 0.021 0.331 0.079
S: 0.089 0.707 0.042
S: 0.099 0.080 0.787
S: 0.122 0.160 0.174
S: 0.297 0.027 0.818
S: 0.311 0.094 0.100
S: 0.316 0.953 0.997
O: 0.354 0.653 0.437
O: 0.390 0.485 0.653
O: 0.424 0.389 0.425
F: 0.109 0.780 0.518
F: 0.117 0.298 0.440
F: 0.163 0.495 0.502
F: 0.165 0.993 0.492
F: 0.212 0.863 0.310
F: 0.225 0.432 0.279
F: 0.240 0.428 0.839
F: 0.295 0.255 0.592
F: 0.303 0.796 0.633
F: 0.356 0.601 0.855
F: 0.361 0.196 0.367
F: 0.407 0.881 0.425
F: 0.412 0.573 0.184
F: 0.423 0.378 0.988
F: 0.471 0.255 0.801

Largest 12 diffraction maxima, low angle first, 2θ = 10–90°:
10.06 deg, d 8.796, rel. 40.2, (1 1 0)
10.90 deg, d 8.118, rel. 27.3, (0 1 1)
13.94 deg, d 6.352, rel. 49.4, (1 -1 0)
16.04 deg, d 5.525, rel. 32.6, (0 0 2)
17.82 deg, d 4.976, rel. 27.8, (1 0 2)
19.57 deg, d 4.536, rel. 100.0, (1 2 -1)
20.49 deg, d 4.334, rel. 31.4, (2 2 1)
21.50 deg, d 4.133, rel. 35.1, (1 -2 0)
24.16 deg, d 3.683, rel. 23.9, (0 0 3)
26.19 deg, d 3.402, rel. 25.4, (1 0 -3)
26.47 deg, d 3.368, rel. 37.1, (3 2 1)
32.55 deg, d 2.751, rel. 24.8, (1 4 1)

---

Copy entry 2 word for word.
Structure and computed powder X-ray diffraction pattern of Na2AgPdF6 (a crystal structure in the Materials Project, relaxed with GGA-PBE; Cu Kα, 1.54184 Å).
Peak positions follow from Bragg's law for the DFT cell and can differ from measured ones.

Structure:
Unit cell a=8.663 b=8.663 c=8.663 alpha=90.00 beta=90.00 gamma=90.00
Space group Fm-3m (No. 225)
Unique sites:
Na: 0.250 0.250 0.250
Ag: 0.000 0.000 0.000
Pd: 0.000 0.000 0.500
F: 0.000 0.000 0.260

Largest 12 diffraction maxima, low angle first, 2θ = 10–90°:
20.50 deg, d 4.332, rel. 100.0, (2 0 0)
29.16 deg, d 3.063, rel. 96.3, (2 2 0)
35.91 deg, d 2.501, rel. 2.0, (2 2 2)
41.70 deg, d 2.166, rel. 49.6, (4 0 0)
46.90 deg, d 1.937, rel. 41.5, (4 2 0)
51.69 deg, d 1.768, rel. 38.3, (4 2 2)
60.45 deg, d 1.531, rel. 29.1, (4 4 0)
64.54 deg, d 1.444, rel. 18.8, (6 0 0)
68.50 deg, d 1.370, rel. 16.6, (6 2 0)
76.12 deg, d 1.250, rel. 9.0, (4 4 4)
79.84 deg, d 1.201, rel. 8.3, (6 4 0)
83.51 deg, d 1.158, rel. 19.1, (6 4 2)